Simulated X-ray powder pattern
Compound: FeRe2Mo2S8
Radiation: CuKα
Structure: a structure optimized by DFT (PBE)
Intensities are scaled so that the largest is 1000.

Most intense lines, 5 to 70 degrees two-theta, in order of rising 2θ:
index	2θ (°)	I_rel
0 1 1	15.76	1000
1 0 1	15.86	293
0 0 2	18.27	374
0 1 3	30.49	434
2 1 1	30.62	423
0 0 4	37.03	730
0 3 3	48.61	313
2 2 4	53.37	364

Cell and atoms:
```
data_FeRe2Mo2S8
_symmetry_space_group_name_H-M 'I m m 2'
_symmetry_Int_Tables_number 44
_cell_length_a 6.8314
_cell_length_b 6.8987
_cell_length_c 9.7143
_cell_angle_alpha 90.00
_cell_angle_beta 90.00
_cell_angle_gamma 90.00
loop_
_symmetry_equiv_pos_as_xyz
'x,y,z'
'-x,-y,z'
'-x,y,z'
'x,-y,z'
'x+1/2,y+1/2,z+1/2'
'-x+1/2,-y+1/2,z+1/2'
'-x+1/2,y+1/2,z+1/2'
'x+1/2,-y+1/2,z+1/2'
loop_
_atom_site_label
_atom_site_fract_x
_atom_site_fract_y
_atom_site_fract_z
_atom_site_occupancy
Fe1 0.0000 0.0000 0.0000 1
Re1 0.2069 0.0000 0.3957 1
Mo1 0.0000 0.2051 0.6016 1
S1 0.0000 0.2664 0.3637 1
S2 0.0000 0.2756 0.8662 1
S3 0.2293 0.5000 0.1327 1
S4 0.2320 0.5000 0.6381 1
```



Simulated X-ray powder pattern
Compound: FeMo2Rh7
Radiation: CuKα
Structure: a structure optimized by DFT (PBE)
Intensities are scaled so that the largest is 1000.

Most intense lines, 5 to 70 degrees two-theta, in order of rising 2θ:
index	2θ (°)	I_rel
2 2 0	25.06	285
2 4 0	32.53	316
0 0 1	33.36	250
1 1 1	35.74	358
2 6 0	42.38	1000
4 0 0	45.02	432
1 5 1	46.66	525
3 1 1	48.30	434

Cell and atoms:
```
data_FeMo2Rh7
_symmetry_space_group_name_H-M 'C m m m'
_symmetry_Int_Tables_number 65
_symmetry_space_group_name_Hall '-C 2 2'
_cell_length_a 8.0555
_cell_length_b 15.0836
_cell_length_c 2.6860
_cell_angle_alpha 90.00
_cell_angle_beta 90.00
_cell_angle_gamma 90.00
loop_
_atom_site_label
_atom_site_fract_x
_atom_site_fract_y
_atom_site_fract_z
_atom_site_occupancy
Fe1 0.0000 0.0000 0.0000 1
Mo1 0.0000 0.3291 0.5000 1
Rh1 0.0000 0.1831 0.0000 1
Rh2 0.0000 0.5000 0.5000 1
Rh3 0.2252 0.0940 0.5000 1
```



Simulated X-ray powder pattern
Compound: FeMoRu
Radiation: CuKα
Structure: a structure optimized by DFT (PBE)
Intensities are scaled so that the largest is 1000.

Most intense lines, 5 to 70 degrees two-theta, in order of rising 2θ:
index	2θ (°)	I_rel
0 0 2	21.97	24
0 1 1	25.87	51
1 0 1	34.96	23
1 1 0	40.97	1000
1 0 3	47.61	318
0 2 0	47.80	158
2 0 0	69.47	49
1 2 3	69.76	242

Cell and atoms:
```
data_FeMoRu
_symmetry_space_group_name_H-M 'I m m 2'
_symmetry_Int_Tables_number 44
_cell_length_a 2.7060
_cell_length_b 3.8059
_cell_length_c 8.0900
_cell_angle_alpha 90.00
_cell_angle_beta 90.00
_cell_angle_gamma 90.00
loop_
_symmetry_equiv_pos_as_xyz
'x,y,z'
'-x,-y,z'
'-x,y,z'
'x,-y,z'
'x+1/2,y+1/2,z+1/2'
'-x+1/2,-y+1/2,z+1/2'
'-x+1/2,y+1/2,z+1/2'
'x+1/2,-y+1/2,z+1/2'
loop_
_atom_site_label
_atom_site_fract_x
_atom_site_fract_y
_atom_site_fract_z
_atom_site_occupancy
Fe1 0.0000 0.0000 0.0000 1
Mo1 0.0000 0.0000 0.6699 1
Ru1 0.0000 0.0000 0.3429 1
```



Simulated X-ray powder pattern
Compound: V5Fe2MoRu2
Radiation: CuKα
Structure: a structure optimized by DFT (PBE)
Intensities are scaled so that the largest is 1000.

Most intense lines, 5 to 70 degrees two-theta, in order of rising 2θ:
index	2θ (°)	I_rel
3 1 0	30.63	184
2 1 1	35.79	161
2 2 1	39.71	200
4 1 0	40.28	359
3 1 1	42.15	1000
4 2 0	43.86	180
3 2 1	45.61	214
0 0 2	58.42	147

Cell and atoms:
```
data_V5Fe2MoRu2
_symmetry_space_group_name_H-M 'P 4/m b m'
_symmetry_Int_Tables_number 127
_symmetry_space_group_name_Hall '-P 4 2ab'
_cell_length_a 9.2308
_cell_length_b 9.2308
_cell_length_c 3.1596
_cell_angle_alpha 90.00
_cell_angle_beta 90.00
_cell_angle_gamma 90.00
loop_
_atom_site_label
_atom_site_fract_x
_atom_site_fract_y
_atom_site_fract_z
_atom_site_occupancy
V1 0.0000 0.5000 0.0000 1
V2 0.0698 0.2025 0.0000 1
Fe1 0.1273 0.3727 0.5000 1
Mo1 0.0000 0.0000 0.5000 1
Ru1 0.1704 0.6704 0.5000 1
```



Simulated X-ray powder pattern
Compound: ScFeMo
Radiation: CuKα
Structure: a structure optimized by DFT (PBE)
Intensities are scaled so that the largest is 1000.

Most intense lines, 5 to 70 degrees two-theta, in order of rising 2θ:
index	2θ (°)	I_rel
0 0 2	20.35	258
1 1 1	22.57	256
1 1 3	37.00	1000
1 3 1	38.42	604
2 2 0	40.89	470
2 2 2	46.08	583
0 2 4	47.12	374
0 4 2	48.85	303

Cell and atoms:
```
data_ScFeMo
_symmetry_space_group_name_H-M 'F m m m'
_symmetry_Int_Tables_number 69
_symmetry_space_group_name_Hall '-F 2 2'
_cell_length_a 5.2272
_cell_length_b 8.2428
_cell_length_c 8.7288
_cell_angle_alpha 90.00
_cell_angle_beta 90.00
_cell_angle_gamma 90.00
loop_
_atom_site_label
_atom_site_fract_x
_atom_site_fract_y
_atom_site_fract_z
_atom_site_occupancy
Sc1 0.0000 0.1723 0.0000 1
Fe1 0.2500 0.2500 0.2500 1
Mo1 0.0000 0.0000 0.3403 1
```



Simulated X-ray powder pattern
Compound: Ta4Fe3Mo
Radiation: CuKα
Structure: a structure optimized by DFT (PBE)
Intensities are scaled so that the largest is 1000.

Most intense lines, 5 to 70 degrees two-theta, in order of rising 2θ:
index	2θ (°)	I_rel
1 0 0	28.41	128
0 1 2	28.86	245
1 1 2	40.94	1000
0 2 0	41.11	248
0 0 4	41.43	239
2 0 0	58.79	86
0 2 4	59.78	160
0 3 2	67.49	74

Cell and atoms:
```
data_Ta4Fe3Mo
_symmetry_space_group_name_H-M 'P m m m'
_symmetry_Int_Tables_number 47
_cell_length_a 3.1411
_cell_length_b 4.3918
_cell_length_c 8.7176
_cell_angle_alpha 90.00
_cell_angle_beta 90.00
_cell_angle_gamma 90.00
loop_
_symmetry_equiv_pos_as_xyz
'x,y,z'
'-x,-y,-z'
'-x,-y,z'
'x,y,-z'
'x,-y,-z'
'-x,y,z'
'-x,y,-z'
'x,-y,z'
loop_
_atom_site_label
_atom_site_fract_x
_atom_site_fract_y
_atom_site_fract_z
_atom_site_occupancy
Ta1 0.0000 0.0000 0.0000 1
Ta2 0.0000 0.0000 0.5000 1
Ta3 0.0000 0.5000 0.2429 1
Fe1 0.5000 0.0000 0.2430 1
Fe2 0.5000 0.5000 0.0000 1
Mo1 0.5000 0.5000 0.5000 1
```



Simulated X-ray powder pattern
Compound: TbFe9Mo3
Radiation: CuKα
Structure: a structure optimized by DFT (PBE)
Intensities are scaled so that the largest is 1000.

Most intense lines, 5 to 70 degrees two-theta, in order of rising 2θ:
index	2θ (°)	I_rel
1 0 3	36.58	715
2 0 0	37.66	227
0 0 4	42.06	475
1 3 2	42.38	1000
2 0 2	43.34	676
0 4 2	47.31	161
1 4 1	47.61	170
2 2 2	48.48	229

Cell and atoms:
```
data_TbFe9Mo3
_symmetry_space_group_name_H-M 'I m m 2'
_symmetry_Int_Tables_number 44
_cell_length_a 4.7773
_cell_length_b 8.5839
_cell_length_c 8.6023
_cell_angle_alpha 90.00
_cell_angle_beta 90.00
_cell_angle_gamma 90.00
loop_
_symmetry_equiv_pos_as_xyz
'x,y,z'
'-x,-y,z'
'-x,y,z'
'x,-y,z'
'x+1/2,y+1/2,z+1/2'
'-x+1/2,-y+1/2,z+1/2'
'-x+1/2,y+1/2,z+1/2'
'x+1/2,-y+1/2,z+1/2'
loop_
_atom_site_label
_atom_site_fract_x
_atom_site_fract_y
_atom_site_fract_z
_atom_site_occupancy
Tb1 0.0000 0.0000 0.0000 1
Fe1 0.0000 0.0000 0.3490 1
Fe2 0.0000 0.2764 0.4885 1
Fe3 0.0000 0.5000 0.2740 1
Fe4 0.0000 0.5000 0.7093 1
Fe5 0.2483 0.2498 0.2400 1
Mo1 0.0000 0.0000 0.6327 1
Mo2 0.0000 0.3572 0.9865 1
```



Simulated X-ray powder pattern
Compound: TbFe10Mo
Radiation: CuKα
Structure: a structure optimized by DFT (PBE)
Intensities are scaled so that the largest is 1000.

Most intense lines, 5 to 70 degrees two-theta, in order of rising 2θ:
index	2θ (°)	I_rel
1 1 1	31.08	482
0 1 3	37.57	190
0 2 2	43.58	221
0 0 4	43.70	123
1 2 0	44.08	1000
2 0 0	45.44	299
2 2 0	60.35	140
2 0 4	64.81	200

Cell and atoms:
```
data_TbFe10Mo
_symmetry_space_group_name_H-M 'P m m m'
_symmetry_Int_Tables_number 47
_cell_length_a 3.9921
_cell_length_b 4.8006
_cell_length_c 8.2861
_cell_angle_alpha 90.00
_cell_angle_beta 90.00
_cell_angle_gamma 90.00
loop_
_symmetry_equiv_pos_as_xyz
'x,y,z'
'-x,-y,-z'
'-x,-y,z'
'x,y,-z'
'x,-y,-z'
'-x,y,z'
'-x,y,-z'
'x,-y,z'
loop_
_atom_site_label
_atom_site_fract_x
_atom_site_fract_y
_atom_site_fract_z
_atom_site_occupancy
Tb1 0.0000 0.0000 0.0000 1
Fe1 0.0000 0.0000 0.3463 1
Fe2 0.0000 0.5000 0.1871 1
Fe3 0.5000 0.0000 0.5000 1
Fe4 0.5000 0.2542 0.2618 1
Fe5 0.5000 0.5000 0.0000 1
Mo1 0.0000 0.5000 0.5000 1
```



Simulated X-ray powder pattern
Compound: TbFe11Mo
Radiation: CuKα
Structure: a structure optimized by DFT (PBE)
Intensities are scaled so that the largest is 1000.

Most intense lines, 5 to 70 degrees two-theta, in order of rising 2θ:
index	2θ (°)	I_rel
1 0 3	36.98	303
1 3 0	37.27	366
0 0 4	42.41	318
0 4 0	42.91	1000
1 3 2	43.08	643
2 0 2	44.04	413
2 2 0	44.16	473
2 2 2	49.31	282

Cell and atoms:
```
data_TbFe11Mo
_symmetry_space_group_name_H-M 'I m m 2'
_symmetry_Int_Tables_number 44
_cell_length_a 4.6939
_cell_length_b 8.4385
_cell_length_c 8.5260
_cell_angle_alpha 90.00
_cell_angle_beta 90.00
_cell_angle_gamma 90.00
loop_
_symmetry_equiv_pos_as_xyz
'x,y,z'
'-x,-y,z'
'-x,y,z'
'x,-y,z'
'x+1/2,y+1/2,z+1/2'
'-x+1/2,-y+1/2,z+1/2'
'-x+1/2,y+1/2,z+1/2'
'x+1/2,-y+1/2,z+1/2'
loop_
_atom_site_label
_atom_site_fract_x
_atom_site_fract_y
_atom_site_fract_z
_atom_site_occupancy
Tb1 0.0000 0.0000 0.0000 1
Fe1 0.0000 0.0000 0.6480 1
Fe2 0.0000 0.2800 0.5079 1
Fe3 0.0000 0.3576 0.0067 1
Fe4 0.0000 0.5000 0.2742 1
Fe5 0.0000 0.5000 0.7355 1
Fe6 0.2495 0.2493 0.7552 1
Mo1 0.0000 0.0000 0.3744 1
```



Simulated X-ray powder pattern
Compound: TiFeMo2
Radiation: CuKα
Structure: a structure optimized by DFT (PBE)
Intensities are scaled so that the largest is 1000.

Most intense lines, 5 to 70 degrees two-theta, in order of rising 2θ:
index	2θ (°)	I_rel
2 0 0	29.17	117
2 2 0	41.73	1000
2 2 2	51.72	32
4 0 0	60.49	157
4 2 0	68.54	44

Cell and atoms:
```
data_TiFeMo2
_symmetry_space_group_name_H-M 'F m -3 m'
_symmetry_Int_Tables_number 225
_symmetry_space_group_name_Hall '-F 4 2 3'
_cell_length_a 6.1225
_cell_length_b 6.1225
_cell_length_c 6.1225
_cell_angle_alpha 90.00
_cell_angle_beta 90.00
_cell_angle_gamma 90.00
loop_
_atom_site_label
_atom_site_fract_x
_atom_site_fract_y
_atom_site_fract_z
_atom_site_occupancy
Ti1 0.0000 0.0000 0.0000 1
Fe1 0.0000 0.0000 0.5000 1
Mo1 0.2500 0.2500 0.2500 1
```



Simulated X-ray powder pattern
Compound: Ti4FeMo
Radiation: CuKα
Structure: a structure optimized by DFT (PBE)
Intensities are scaled so that the largest is 1000.

Most intense lines, 5 to 70 degrees two-theta, in order of rising 2θ:
index	2θ (°)	I_rel
1 1 -1	22.82	296
3 1 0	25.98	315
2 0 -2	36.89	427
2 2 1	38.43	790
4 0 1	38.76	549
4 2 -1	41.84	1000
4 0 -2	42.11	247
0 2 2	47.15	505

Cell and atoms:
```
data_Ti4FeMo
_symmetry_space_group_name_H-M 'C 1 2/m 1'
_symmetry_Int_Tables_number 12
_cell_length_a 12.4831
_cell_length_b 6.4876
_cell_length_c 4.9367
_cell_angle_alpha 90.00
_cell_angle_beta 103.82
_cell_angle_gamma 90.00
loop_
_symmetry_equiv_pos_as_xyz
'x,y,z'
'-x,-y,-z'
'-x,y,-z'
'x,-y,z'
'x+1/2,y+1/2,z'
'-x+1/2,-y+1/2,-z'
'-x+1/2,y+1/2,-z'
'x+1/2,-y+1/2,z'
loop_
_atom_site_label
_atom_site_fract_x
_atom_site_fract_y
_atom_site_fract_z
_atom_site_occupancy
Ti1 0.0000 0.1989 0.0000 1
Ti2 0.1366 0.2322 0.5840 1
Ti3 0.1741 0.5000 0.1509 1
Fe1 0.0158 0.5000 0.7377 1
Mo1 0.2027 0.0000 0.1968 1
```



Simulated X-ray powder pattern
Compound: TmFe10Mo2
Radiation: CuKα
Structure: a structure optimized by DFT (PBE)
Intensities are scaled so that the largest is 1000.

Most intense lines, 5 to 70 degrees two-theta, in order of rising 2θ:
index	2θ (°)	I_rel
1 0 3	36.82	458
1 3 0	37.05	511
2 0 0	38.11	305
0 0 4	42.26	304
0 4 0	42.63	448
1 2 3	42.74	862
1 3 2	42.85	640
2 2 0	43.85	1000

Cell and atoms:
```
data_TmFe10Mo2
_symmetry_space_group_name_H-M 'I m m m'
_symmetry_Int_Tables_number 71
_symmetry_space_group_name_Hall '-I 2 2'
_cell_length_a 4.7222
_cell_length_b 8.4838
_cell_length_c 8.5549
_cell_angle_alpha 90.00
_cell_angle_beta 90.00
_cell_angle_gamma 90.00
loop_
_atom_site_label
_atom_site_fract_x
_atom_site_fract_y
_atom_site_fract_z
_atom_site_occupancy
Tm1 0.0000 0.0000 0.0000 1
Fe1 0.0000 0.2847 0.5000 1
Fe2 0.0000 0.3568 0.0000 1
Fe3 0.0000 0.5000 0.2747 1
Fe4 0.2500 0.2500 0.2500 1
Mo1 0.0000 0.0000 0.3567 1
```



Simulated X-ray powder pattern
Compound: UFe10Mo2
Radiation: CuKα
Structure: a structure optimized by DFT (PBE)
Intensities are scaled so that the largest is 1000.

Most intense lines, 5 to 70 degrees two-theta, in order of rising 2θ:
index	2θ (°)	I_rel
1 1 0	21.77	265
1 1 2	30.27	314
1 0 3	36.95	320
1 3 0	37.08	347
0 0 4	42.21	191
0 4 0	42.43	278
1 2 3	42.83	1000
2 2 0	44.36	611

Cell and atoms:
```
data_UFe10Mo2
_symmetry_space_group_name_H-M 'I m m m'
_symmetry_Int_Tables_number 71
_symmetry_space_group_name_Hall '-I 2 2'
_cell_length_a 4.6512
_cell_length_b 8.5221
_cell_length_c 8.5635
_cell_angle_alpha 90.00
_cell_angle_beta 90.00
_cell_angle_gamma 90.00
loop_
_atom_site_label
_atom_site_fract_x
_atom_site_fract_y
_atom_site_fract_z
_atom_site_occupancy
U1 0.0000 0.0000 0.0000 1
Fe1 0.0000 0.2854 0.5000 1
Fe2 0.0000 0.3540 0.0000 1
Fe3 0.0000 0.5000 0.2779 1
Fe4 0.2500 0.2500 0.2500 1
Mo1 0.0000 0.0000 0.3556 1
```